The following is a computed powder diffraction line list of CeDy7Er3. It was derived from a crystal structure in Alexandria, relaxed with GGA-PBE, using Cu Ka.

Peak list (6 most intense, 2θ from 10° to 90°, by angle)
hkl  d_spacing  two_theta  I (rel.)
2 0 1  2.859  31.29  100
0 0 3  2.848  31.41  33
0 2 2  2.474  36.32  67
2 2 0  1.752  52.22  24
2 0 4  1.747  52.38  24
2 2 3  1.493  62.20  42

```
data_CeDy7Er3
_chemical_formula_sum 'Ce1 Dy7 Er3'
_cell_length_a 7.0068
_cell_length_b 7.0068
_cell_length_c 8.5440
_cell_angle_alpha 90.00
_cell_angle_beta 90.00
_cell_angle_gamma 120.00
_symmetry_space_group_name_H-M 'P 3 m 1'
_symmetry_Int_Tables_number 156
loop_
_symmetry_equiv_pos_as_xyz
'x,y,z'
'-y,x-y,z'
'-x+y,-x,z'
'-y,-x,z'
'-x+y,y,z'
'x,x-y,z'
loop_
_atom_site_label
_atom_site_fract_x
_atom_site_fract_y
_atom_site_fract_z
Ce1 0.0000 0.0000 0.0000
Dy1 0.0015 0.5007 0.9979
Dy2 0.3286 0.1643 0.3305
Dy3 0.3333 0.6667 0.3317
Er1 0.1654 0.3309 0.6664
```